Entry 1:
Structure and computed powder diffractogram of Li4Ag3Bi (a crystal structure in Alexandria, relaxed with GGA-PBE; Cu Kα, 1.54184 Å).

The 10 most intense peaks (10 to 90 degrees two-theta), sorted by position:
2theta  I/Imax
27.26  100
38.86  45
39.01  45
48.25  21
56.24  15
63.49  18
63.71  18
70.25  7
70.56  15
70.67  8

Structure:
a = 8.039 Å, b = 8.039 Å, c = 8.039 Å
α = 33.38°, β = 33.38°, γ = 33.38°
Element x y z (fractional)
Li 0.121 0.121 0.121
Li 0.372 0.372 0.372
Li 0.628 0.628 0.628
Li 0.879 0.879 0.879
Ag 0.000 0.000 0.000
Ag 0.253 0.253 0.253
Ag 0.747 0.747 0.747
Bi 0.500 0.500 0.500

---

Entry 2:
Structure and computed powder diffractogram of Tb3Pm4Tm5 (a crystal structure in Alexandria, relaxed with GGA-PBE; Cu Kα, 1.54184 Å).

The 10 most intense peaks (10 to 90 degrees two-theta), sorted by position:
2theta  I/Imax
28.78  25
29.24  24
29.58  29
30.28  100
31.34  42
32.00  56
32.71  72
32.85  28
33.59  65
44.14  33

Structure:
a = 8.521 Å, b = 8.521 Å, c = 9.326 Å
α = 114.85°, β = 114.85°, γ = 40.54°
Element x y z (fractional)
Tb 0.000 0.000 0.000
Tb 0.288 0.288 0.762
Tb 0.712 0.712 0.238
Pm 0.286 0.286 0.117
Pm 0.415 0.415 0.553
Pm 0.585 0.585 0.447
Pm 0.714 0.714 0.883
Tm 0.070 0.070 0.700
Tm 0.171 0.171 0.383
Tm 0.500 0.500 0.000
Tm 0.829 0.829 0.617
Tm 0.930 0.930 0.300

---

Entry 3:
Structure and computed powder diffractogram of SmHo2Ag (a crystal structure in Alexandria, relaxed with GGA-PBE; Cu Kα, 1.54184 Å).

The 10 most intense peaks (10 to 90 degrees two-theta), sorted by position:
2theta  I/Imax
28.88  38
29.85  100
31.08  39
32.38  25
35.98  42
36.95  32
38.08  25
39.49  19
53.39  19
57.68  18

Structure:
a = 6.411 Å, b = 6.411 Å, c = 7.886 Å
α = 90.00°, β = 90.00°, γ = 134.17°
Element x y z (fractional)
Sm 0.052 0.948 0.750
Sm 0.948 0.052 0.250
Ho 0.356 0.644 0.536
Ho 0.356 0.644 0.964
Ho 0.644 0.356 0.036
Ho 0.644 0.356 0.464
Ag 0.206 0.794 0.250
Ag 0.794 0.206 0.750

---

What is the formula in the second record? Tb3Pm4Tm5